Starting from DFT lattice parameters and positions (PBE+U), the X-ray diffraction stick pattern of NaGaW2O8 was calculated for CuKα.

Cell and atoms:
a b c (Å): 9.969 5.819 5.058
angles (deg): 90.00 90.47 90.00
Space group P2/c (No. 13)
Asymmetric unit:
1 Na 0.000 0.173 0.250
2 Ga 0.500 0.159 0.250
3 W 0.267 0.325 0.744
4 O 0.147 0.128 0.621
5 O 0.174 0.405 0.060
6 O 0.378 0.376 0.423
7 O 0.394 0.121 0.913

Peak list (8 most intense, 2θ from 15° to 90°, low angle first)
index	2theta	intensity
2 0 0	17.80	811
0 1 1	23.30	703
2 1 0	23.50	585
2 1 -1	29.38	998
2 1 1	29.56	1000
0 0 2	35.50	310
0 2 1	35.60	381
2 3 0	50.49	289